This entry pairs a crystal structure of Th6H8Br15 with its simulated powder diffractogram. Radiation: Cu Kα, 1.54184 Å. Structure: a GGA-PBE-relaxed structure.
Lines closer than 0.1° are merged.

Principal peaks in the range 5° ≤ 2θ ≤ 70°, in order of rising 2θ:
two_theta, I (rel.)
10.8, 57
18.8, 39
21.8, 20
29.0, 54
31.0, 100
36.5, 24
44.4, 74
55.1, 25

Cell and atoms:
```
data_Th6H8Br15
_cell_length_a 9.994
_cell_length_b 9.994
_cell_length_c 9.994
_cell_angle_alpha 109.47
_cell_angle_beta 109.47
_cell_angle_gamma 109.47
_space_group_name_H-M_alt 'P 1'
_space_group_IT_number 1
_space_group_name_Hall 'P 1'
loop_
_atom_site_label
_atom_site_fract_x
_atom_site_fract_y
_atom_site_fract_z
Th1 0.000 0.239 0.239
Th2 0.000 0.761 0.761
Th3 0.239 0.000 0.239
Th4 0.239 0.239 0.000
Th5 0.761 0.000 0.761
Th6 0.761 0.761 0.000
H1 0.000 0.000 0.180
H2 0.000 0.000 0.820
H3 0.000 0.180 0.000
H4 0.000 0.820 0.000
H5 0.180 0.000 0.000
H6 0.180 0.180 0.180
H7 0.820 0.000 0.000
H8 0.820 0.820 0.820
Br1 0.000 0.256 0.744
Br2 0.000 0.500 0.500
Br3 0.000 0.744 0.256
Br4 0.256 0.000 0.744
Br5 0.256 0.256 0.511
Br6 0.256 0.511 0.256
Br7 0.256 0.744 0.000
Br8 0.489 0.744 0.744
Br9 0.500 0.000 0.500
Br10 0.500 0.500 0.000
Br11 0.511 0.256 0.256
Br12 0.744 0.000 0.256
Br13 0.744 0.256 0.000
Br14 0.744 0.489 0.744
Br15 0.744 0.744 0.489
```

---

This entry pairs a crystal structure of HfBr4 with its simulated powder diffractogram. Radiation: Cu Kα, 1.54184 Å. Structure: a GGA-PBE-relaxed structure.
Lines closer than 0.1° are merged.

Principal peaks in the range 5° ≤ 2θ ≤ 70°, in order of rising 2θ:
two_theta, I (rel.)
16.4, 100
19.4, 26
26.6, 91
32.2, 23
39.4, 26
41.6, 31
46.3, 33
48.1, 33

Cell and atoms:
```
data_HfBr4
_cell_length_a 6.730
_cell_length_b 6.730
_cell_length_c 6.730
_cell_angle_alpha 122.53
_cell_angle_beta 122.53
_cell_angle_gamma 85.67
_space_group_name_H-M_alt 'P 1'
_space_group_IT_number 1
_space_group_name_Hall 'P 1'
loop_
_atom_site_label
_atom_site_fract_x
_atom_site_fract_y
_atom_site_fract_z
Hf1 0.000 0.000 0.000
Br1 0.082 0.082 0.443
Br2 0.361 0.918 0.000
Br3 0.639 0.639 0.557
Br4 0.918 0.361 0.000
```

---

This entry pairs a crystal structure of HfBr4 with its simulated powder diffractogram. Radiation: Cu Kα, 1.54184 Å. Structure: a GGA-PBE-relaxed structure.
Lines closer than 0.1° are merged.

Principal peaks in the range 5° ≤ 2θ ≤ 70°, in order of rising 2θ:
two_theta, I (rel.)
11.9, 65
16.5, 44
17.9, 35
18.0, 23
32.0, 100
33.1, 48
46.0, 36
46.7, 33

Cell and atoms:
```
data_HfBr4
_cell_length_a 7.902
_cell_length_b 7.902
_cell_length_c 12.078
_cell_angle_alpha 108.26
_cell_angle_beta 108.26
_cell_angle_gamma 90.02
_space_group_name_H-M_alt 'P 1'
_space_group_IT_number 1
_space_group_name_Hall 'P 1'
loop_
_atom_site_label
_atom_site_fract_x
_atom_site_fract_y
_atom_site_fract_z
Hf1 0.060 0.785 0.875
Hf2 0.215 0.940 0.625
Hf3 0.785 0.060 0.375
Hf4 0.940 0.215 0.125
Br1 0.052 0.825 0.383
Br2 0.056 0.281 0.366
Br3 0.175 0.948 0.117
Br4 0.182 0.426 0.137
Br5 0.281 0.056 0.866
Br6 0.307 0.592 0.887
Br7 0.408 0.693 0.613
Br8 0.426 0.182 0.637
Br9 0.574 0.818 0.363
Br10 0.592 0.307 0.387
Br11 0.693 0.408 0.113
Br12 0.719 0.944 0.134
Br13 0.818 0.574 0.863
Br14 0.825 0.052 0.883
Br15 0.944 0.719 0.634
Br16 0.948 0.175 0.617
```

---

This entry pairs a crystal structure of HfI2Br2 with its simulated powder diffractogram. Radiation: Cu Kα, 1.54184 Å. Structure: a GGA-PBE-relaxed structure.
Lines closer than 0.1° are merged.

Principal peaks in the range 5° ≤ 2θ ≤ 70°, in order of rising 2θ:
two_theta, I (rel.)
13.1, 44
17.3, 30
19.2, 57
26.3, 34
30.0, 100
32.7, 41
43.9, 33
46.0, 31

Cell and atoms:
```
data_HfI2Br2
_cell_length_a 7.062
_cell_length_b 8.654
_cell_length_c 6.649
_cell_angle_alpha 90.00
_cell_angle_beta 106.15
_cell_angle_gamma 90.00
_space_group_name_H-M_alt 'P 1'
_space_group_IT_number 1
_space_group_name_Hall 'P 1'
loop_
_atom_site_label
_atom_site_fract_x
_atom_site_fract_y
_atom_site_fract_z
Hf1 0.000 0.145 0.250
Hf2 0.000 0.855 0.750
I1 0.258 0.350 0.480
I2 0.258 0.650 0.980
I3 0.742 0.350 0.020
I4 0.742 0.650 0.520
Br1 0.216 0.098 0.989
Br2 0.216 0.902 0.489
Br3 0.784 0.098 0.511
Br4 0.784 0.902 0.011
```

---

This entry pairs a crystal structure of HfSe2IBr with its simulated powder diffractogram. Radiation: Cu Kα, 1.54184 Å. Structure: a GGA-PBE-relaxed structure.
Lines closer than 0.1° are merged.

Principal peaks in the range 5° ≤ 2θ ≤ 70°, in order of rising 2θ:
two_theta, I (rel.)
12.5, 100
14.5, 24
15.8, 30
27.6, 39
29.3, 48
35.5, 23
37.7, 19
38.6, 21

Cell and atoms:
```
data_HfSe2IBr
_cell_length_a 7.071
_cell_length_b 7.114
_cell_length_c 7.774
_cell_angle_alpha 69.10
_cell_angle_beta 70.05
_cell_angle_gamma 62.09
_space_group_name_H-M_alt 'P 1'
_space_group_IT_number 1
_space_group_name_Hall 'P 1'
loop_
_atom_site_label
_atom_site_fract_x
_atom_site_fract_y
_atom_site_fract_z
Hf1 0.129 0.224 0.000
Hf2 0.871 0.776 0.000
Se1 0.063 0.581 0.696
Se2 0.253 0.471 0.102
Se3 0.747 0.529 0.898
Se4 0.937 0.419 0.304
I1 0.412 0.850 0.245
I2 0.588 0.150 0.755
Br1 0.160 0.984 0.780
Br2 0.840 0.016 0.220
```

---

This entry pairs a crystal structure of K2HfTlBr6 with its simulated powder diffractogram. Radiation: Cu Kα, 1.54184 Å. Structure: a GGA-PBE-relaxed structure.
Lines closer than 0.1° are merged.

Principal peaks in the range 5° ≤ 2θ ≤ 70°, in order of rising 2θ:
two_theta, I (rel.)
15.2, 100
21.6, 39
30.7, 76
34.4, 51
37.8, 16
44.0, 53
46.8, 27
54.6, 18

Cell and atoms:
```
data_K2HfTlBr6
_cell_length_a 8.239
_cell_length_b 8.239
_cell_length_c 8.239
_cell_angle_alpha 60.00
_cell_angle_beta 60.00
_cell_angle_gamma 60.00
_space_group_name_H-M_alt 'P 1'
_space_group_IT_number 1
_space_group_name_Hall 'P 1'
loop_
_atom_site_label
_atom_site_fract_x
_atom_site_fract_y
_atom_site_fract_z
K1 0.250 0.250 0.250
K2 0.750 0.750 0.750
Hf1 0.000 0.000 0.000
Tl1 0.500 0.500 0.500
Br1 0.229 0.229 0.771
Br2 0.229 0.771 0.229
Br3 0.229 0.771 0.771
Br4 0.771 0.229 0.229
Br5 0.771 0.229 0.771
Br6 0.771 0.771 0.229
```

---

This entry pairs a crystal structure of RbHf2Br9 with its simulated powder diffractogram. Radiation: Cu Kα, 1.54184 Å. Structure: a GGA-PBE-relaxed structure.
Lines closer than 0.1° are merged.

Principal peaks in the range 5° ≤ 2θ ≤ 70°, in order of rising 2θ:
two_theta, I (rel.)
14.2, 32
15.1, 37
16.3, 53
30.1, 100
30.7, 50
39.2, 25
40.1, 26
46.9, 36

Cell and atoms:
```
data_RbHf2Br9
_cell_length_a 10.009
_cell_length_b 6.741
_cell_length_c 12.951
_cell_angle_alpha 90.00
_cell_angle_beta 112.91
_cell_angle_gamma 90.00
_space_group_name_H-M_alt 'P 1'
_space_group_IT_number 1
_space_group_name_Hall 'P 1'
loop_
_atom_site_label
_atom_site_fract_x
_atom_site_fract_y
_atom_site_fract_z
Rb1 0.000 0.091 0.250
Rb2 0.000 0.909 0.750
Hf1 0.322 0.241 0.632
Hf2 0.322 0.759 0.132
Hf3 0.678 0.241 0.868
Hf4 0.678 0.759 0.368
Br1 0.106 0.394 0.656
Br2 0.106 0.606 0.156
Br3 0.202 0.086 0.056
Br4 0.202 0.914 0.556
Br5 0.290 0.398 0.449
Br6 0.290 0.602 0.949
Br7 0.414 0.087 0.846
Br8 0.414 0.913 0.346
Br9 0.500 0.459 0.250
Br10 0.500 0.541 0.750
Br11 0.586 0.087 0.654
Br12 0.586 0.913 0.154
Br13 0.710 0.398 0.051
Br14 0.710 0.602 0.551
Br15 0.798 0.086 0.444
Br16 0.798 0.914 0.944
Br17 0.894 0.394 0.844
Br18 0.894 0.606 0.344
```

---

This entry pairs a crystal structure of HfTl2TeBr6 with its simulated powder diffractogram. Radiation: Cu Kα, 1.54184 Å. Structure: a GGA-PBE-relaxed structure.
Lines closer than 0.1° are merged.

Principal peaks in the range 5° ≤ 2θ ≤ 70°, in order of rising 2θ:
two_theta, I (rel.)
6.1, 49
22.4, 77
26.5, 29
32.4, 38
36.5, 100
37.8, 58
44.4, 26
67.4, 35

Cell and atoms:
```
data_HfTl2TeBr6
_cell_length_a 4.758
_cell_length_b 4.758
_cell_length_c 14.476
_cell_angle_alpha 90.00
_cell_angle_beta 90.00
_cell_angle_gamma 90.00
_space_group_name_H-M_alt 'P 1'
_space_group_IT_number 1
_space_group_name_Hall 'P 1'
loop_
_atom_site_label
_atom_site_fract_x
_atom_site_fract_y
_atom_site_fract_z
Hf1 0.000 0.000 0.000
Tl1 0.500 0.500 0.283
Tl2 0.500 0.500 0.717
Te1 0.000 0.000 0.500
Br1 0.000 0.500 0.134
Br2 0.000 0.500 0.866
Br3 0.500 0.000 0.134
Br4 0.500 0.000 0.866
Br5 0.500 0.500 0.000
Br6 0.500 0.500 0.500
```